(1)
Starting from a structure optimized by DFT (PBE), the X-ray powder pattern of Al2Re2I was simulated for copper Kα.
Lines closer than 0.1° are merged.

The 10 most intense peaks (5 to 70 degrees two-theta), sorted by position:
2θ/deg  d_spacing  I_rel
17.79  4.986  100.0
26.96  3.308  39.5
30.59  2.923  19.4
34.63  2.590  67.9
40.83  2.210  16.2
41.10  2.196  90.8
41.59  2.171  45.2
55.80  1.648  16.8
63.66  1.462  18.3
66.67  1.403  14.5

Crystal structure
```
Al2Re2I
1.0
-3.377 4.986 2.923
3.377 -4.986 2.923
3.377 4.986 -2.923
Al Re I
4 4 2
Direct
0.208 0.162 0.370
0.292 0.662 0.954
0.708 0.338 0.046
0.792 0.838 0.630
0.054 0.840 0.904
0.436 0.340 0.787
0.554 0.649 0.213
0.936 0.149 0.096
0.246 0.746 0.500
0.746 0.246 0.500
```

(2)
Starting from a structure optimized by DFT (PBE), the X-ray powder pattern of SrFeCoTe3 was simulated for copper Kα.
Lines closer than 0.1° are merged.

The 10 most intense peaks (5 to 70 degrees two-theta), sorted by position:
2θ/deg  d_spacing  I_rel
12.66  6.991  29.2
28.75  3.105  35.1
29.13  3.065  59.9
30.45  2.936  100.0
30.98  2.887  42.9
34.10  2.629  61.4
35.06  2.559  50.2
43.05  2.101  32.0
44.56  2.033  36.7
53.85  1.702  39.1

Crystal structure
```
SrFeCoTe3
1.0
2.033 -6.991 0.000
2.033 6.991 0.000
0.000 0.000 10.237
Sr Fe Co Te
2 2 2 6
Direct
0.235 0.765 0.750
0.765 0.235 0.250
0.000 0.000 0.000
0.000 0.000 0.500
0.464 0.536 0.250
0.536 0.464 0.750
0.067 0.933 0.250
0.373 0.627 0.037
0.373 0.627 0.463
0.627 0.373 0.537
0.627 0.373 0.963
0.933 0.067 0.750
```

(3)
Starting from a structure optimized by DFT (PBE), the X-ray powder pattern of PrInGa4Ir was simulated for copper Kα.
Lines closer than 0.1° are merged.

The 10 most intense peaks (5 to 70 degrees two-theta), sorted by position:
2θ/deg  d_spacing  I_rel
19.78  4.488  27.7
23.53  3.781  21.6
25.37  3.511  9.4
30.92  2.892  13.6
32.38  2.765  16.4
38.23  2.354  100.0
40.19  2.244  55.3
58.14  1.587  18.4
60.25  1.536  11.9
67.78  1.383  8.8

Crystal structure
```
PrInGa4Ir
1.0
4.488 0.000 0.000
0.000 4.488 0.000
0.000 0.000 7.022
Pr In Ga Ir
1 1 4 1
Direct
0.000 0.000 0.000
0.500 0.500 0.000
0.000 0.500 0.312
0.000 0.500 0.688
0.500 0.000 0.312
0.500 0.000 0.688
0.000 0.000 0.500
```

(4)
Starting from a structure optimized by DFT (PBE), the X-ray powder pattern of RbTmCuS3 was simulated for copper Kα.
Lines closer than 0.1° are merged.

The 10 most intense peaks (5 to 70 degrees two-theta), sorted by position:
2θ/deg  d_spacing  I_rel
11.77  7.516  100.0
23.67  3.758  32.4
24.83  3.586  16.5
28.38  3.145  19.8
30.45  2.936  70.0
31.20  2.866  39.6
35.49  2.530  19.5
36.63  2.453  22.6
45.51  1.993  17.9
46.31  1.961  16.6

Crystal structure
```
RbTmCuS3
1.0
8.942 0.000 0.000
0.000 3.921 0.000
-3.230 0.000 8.865
Rb Tm Cu S
2 2 2 6
Direct
0.211 0.250 0.241
0.789 0.750 0.759
0.329 0.750 0.859
0.671 0.250 0.141
0.083 0.250 0.606
0.917 0.750 0.394
0.122 0.250 0.859
0.183 0.750 0.545
0.470 0.750 0.158
0.530 0.250 0.842
0.817 0.250 0.455
0.878 0.750 0.141
```

(5)
Starting from a structure optimized by DFT (PBE), the X-ray powder pattern of UCoS3 was simulated for copper Kα.
Lines closer than 0.1° are merged.

The 10 most intense peaks (5 to 70 degrees two-theta), sorted by position:
2θ/deg  d_spacing  I_rel
21.40  4.152  27.5
22.67  3.923  100.0
28.33  3.150  54.4
29.42  3.036  80.6
34.95  2.567  40.2
37.44  2.402  33.4
38.29  2.351  42.2
39.83  2.263  28.2
42.05  2.149  59.0
42.70  2.117  32.8

Crystal structure
```
UCoS3
1.0
6.809 0.000 0.000
0.000 5.881 0.000
0.000 0.000 8.304
U Co S
4 4 12
Direct
0.127 0.066 0.000
0.373 0.566 0.500
0.627 0.434 0.000
0.873 0.934 0.500
0.003 0.505 0.751
0.497 0.005 0.251
0.503 0.995 0.751
0.997 0.495 0.251
0.038 0.354 0.502
0.183 0.841 0.700
0.184 0.840 0.301
0.316 0.340 0.801
0.317 0.341 0.200
0.462 0.854 0.002
0.538 0.146 0.502
0.683 0.659 0.700
0.684 0.660 0.301
0.816 0.160 0.801
0.817 0.159 0.200
0.962 0.646 0.002
```

(6)
Starting from a structure optimized by DFT (PBE), the X-ray powder pattern of TbTmCd6 was simulated for copper Kα.
Lines closer than 0.1° are merged.

The 10 most intense peaks (5 to 70 degrees two-theta), sorted by position:
2θ/deg  d_spacing  I_rel
23.78  3.742  3.3
31.46  2.843  24.7
36.15  2.485  22.7
36.40  2.468  100.0
48.66  1.871  14.3
56.02  1.642  18.5
65.17  1.431  17.4
65.68  1.422  2.8
68.51  1.370  19.8
68.67  1.367  14.7

Crystal structure
```
TbTmCd6
1.0
6.566 0.000 0.000
-3.283 5.687 0.000
0.000 0.000 4.970
Tb Tm Cd
1 1 6
Direct
0.000 0.000 0.000
0.333 0.667 0.500
0.343 0.171 0.500
0.503 0.006 0.000
0.503 0.497 0.000
0.829 0.171 0.500
0.829 0.657 0.500
0.994 0.497 0.000
```